Starting from a PBE-relaxed structure, the XRD peak list of Na3RuN2 was calculated for a wavelength of 1.5418 Å.

Structural model:
```
Na3RuN2
1.0
-5.4776 5.4776 5.4776
5.4776 -5.4776 5.4776
5.4776 5.4776 -5.4776
Na Ru N
24 8 16
Direct
0.0202 0.7564 0.9558
0.0442 0.9798 0.2436
0.0645 0.5442 0.3007
0.1993 0.7436 0.7638
0.2362 0.8007 0.2564
0.2436 0.0442 0.9798
0.2564 0.2362 0.8007
0.2638 0.5202 0.5645
0.3007 0.0645 0.5442
0.4355 0.7362 0.4798
0.4558 0.6993 0.9355
0.4798 0.4355 0.7362
0.5202 0.5645 0.2638
0.5442 0.3007 0.0645
0.5645 0.2638 0.5202
0.6993 0.9355 0.4558
0.7362 0.4798 0.4355
0.7436 0.7638 0.1993
0.7564 0.9558 0.0202
0.7638 0.1993 0.7436
0.8007 0.2564 0.2362
0.9355 0.4558 0.6993
0.9558 0.0202 0.7564
0.9798 0.2436 0.0442
0.0000 0.2026 0.5000
0.0000 0.7974 0.5000
0.2026 0.5000 0.0000
0.2974 0.2974 0.2974
0.5000 0.0000 0.2026
0.5000 0.0000 0.7974
0.7026 0.7026 0.7026
0.7974 0.5000 0.0000
0.0000 0.0000 0.5000
0.0000 0.5000 0.0000
0.0666 0.2500 0.3166
0.1834 0.4334 0.7500
0.2500 0.3166 0.0666
0.2500 0.8166 0.5666
0.3166 0.0666 0.2500
0.4334 0.7500 0.1834
0.5000 0.0000 0.0000
0.5000 0.5000 0.5000
0.5666 0.2500 0.8166
0.6834 0.9334 0.7500
0.7500 0.1834 0.4334
0.7500 0.6834 0.9334
0.8166 0.5666 0.2500
0.9334 0.7500 0.6834
```

Largest 10 diffraction maxima, in order of falling intensity, 2θ = 15–90°:
2θ/deg  I (rel.)
19.85  100
30.53  91
32.70  74
42.06  61
46.92  54
51.42  43
34.74  28
62.28  23
74.51  23
16.18  20